Structure and simulated powder diffractogram of Zr4CuAuC2 (a crystal structure in OQMD, relaxed with GGA-PBE; Cu Kα).

Largest 6 diffraction maxima, in order of rising 2θ, 2θ from 10° to 90°:
| (hkl) | 2theta | d (Å) | intensity |
| --- | --- | --- | --- |
| 1 0 0 | 30.95 | 2.889 | 27 |
| 1 0 3 | 36.68 | 2.450 | 100 |
| 0 0 6 | 38.99 | 2.310 | 16 |
| 1 1 0 | 55.05 | 1.668 | 22 |
| 2 0 3 | 67.99 | 1.379 | 16 |
| 1 1 6 | 69.51 | 1.352 | 17 |

Crystal structure
abc: 3.3364 3.3364 13.8594
angles: 90.00 90.00 120.00
Fractional coordinates of all 8 atoms:
Zr 0.0000 0.0000 0.1490
Zr 0.0000 0.0000 0.8510
Zr 0.3333 0.6667 0.3363
Zr 0.3333 0.6667 0.6637
Cu 0.3333 0.6667 0.0000
Au 0.0000 0.0000 0.5000
C 0.6667 0.3333 0.2434
C 0.6667 0.3333 0.7566